(1)
This entry pairs a crystal structure of Ti5O7 with its simulated powder XRD pattern. Radiation: CuKα. Structure: the PBE geometry in Alexandria.
Neutral-atom scattering factors, no anomalous dispersion.

Largest 10 diffraction maxima, in order of rising 2θ, 2θ from 5° to 70°:
2θ 9.4, intensity 100
2θ 20.4, intensity 17
2θ 33.3, intensity 15
2θ 34.0, intensity 36
2θ 41.6, intensity 14
2θ 42.5, intensity 32
2θ 42.8, intensity 16
2θ 43.9, intensity 25
2θ 45.8, intensity 15
2θ 62.0, intensity 16

Structure:
```
Ti5O7
1.0
1.467 -4.913 0.000
1.467 4.913 0.000
0.000 0.000 18.743
Ti O
10 14
Direct
0.000 0.000 0.000
0.000 0.000 0.500
0.273 0.727 0.567
0.273 0.727 0.933
0.467 0.533 0.158
0.467 0.533 0.342
0.533 0.467 0.658
0.533 0.467 0.842
0.727 0.273 0.067
0.727 0.273 0.433
0.087 0.913 0.106
0.087 0.913 0.394
0.164 0.836 0.659
0.164 0.836 0.841
0.372 0.628 0.039
0.372 0.628 0.461
0.474 0.526 0.750
0.526 0.474 0.250
0.628 0.372 0.539
0.628 0.372 0.961
0.836 0.164 0.159
0.836 0.164 0.341
0.913 0.087 0.606
0.913 0.087 0.894
```

(2)
This entry pairs a crystal structure of TiO2 with its simulated powder XRD pattern. Radiation: CuKα. Structure: the PBE geometry in Alexandria.
Neutral-atom scattering factors, no anomalous dispersion.

Largest 10 diffraction maxima, in order of rising 2θ, 2θ from 5° to 70°:
2θ 12.1, intensity 100
2θ 17.2, intensity 76
2θ 27.4, intensity 56
2θ 34.8, intensity 17
2θ 35.9, intensity 49
2θ 40.0, intensity 21
2θ 47.5, intensity 23
2θ 54.1, intensity 17
2θ 57.2, intensity 27
2θ 65.9, intensity 22

Structure:
```
TiO2
1.0
-5.155 5.155 1.491
5.155 -5.155 1.491
5.155 5.155 -1.491
Ti O
4 8
Direct
0.139 0.324 0.463
0.324 0.861 0.184
0.676 0.139 0.816
0.861 0.676 0.537
0.042 0.663 0.705
0.291 0.656 0.947
0.337 0.042 0.379
0.344 0.291 0.635
0.656 0.709 0.365
0.663 0.958 0.621
0.709 0.344 0.053
0.958 0.337 0.295
```

(3)
This entry pairs a crystal structure of TiO2 with its simulated powder XRD pattern. Radiation: CuKα. Structure: the PBE geometry in Alexandria.
Neutral-atom scattering factors, no anomalous dispersion.

Largest 10 diffraction maxima, in order of rising 2θ, 2θ from 5° to 70°:
2θ 17.8, intensity 20
2θ 22.7, intensity 100
2θ 33.5, intensity 6
2θ 36.0, intensity 8
2θ 42.4, intensity 21
2θ 50.5, intensity 10
2θ 56.9, intensity 7
2θ 57.2, intensity 11
2θ 67.5, intensity 4
2θ 69.6, intensity 6

Structure:
```
TiO2
1.0
5.757 0.000 0.000
-2.878 4.986 0.000
0.000 0.000 6.330
Ti O
3 6
Direct
0.000 0.497 0.167
0.497 0.000 0.833
0.503 0.503 0.500
0.206 0.781 0.995
0.219 0.425 0.328
0.425 0.219 0.672
0.575 0.794 0.662
0.781 0.206 0.005
0.794 0.575 0.338
```

(4)
This entry pairs a crystal structure of Ti2O3 with its simulated powder XRD pattern. Radiation: CuKα. Structure: the PBE geometry in Alexandria.
Neutral-atom scattering factors, no anomalous dispersion.

Largest 10 diffraction maxima, in order of rising 2θ, 2θ from 5° to 70°:
2θ 18.2, intensity 67
2θ 20.1, intensity 9
2θ 22.1, intensity 31
2θ 34.2, intensity 33
2θ 35.2, intensity 68
2θ 39.9, intensity 69
2θ 49.9, intensity 16
2θ 51.9, intensity 100
2θ 62.6, intensity 13
2θ 63.2, intensity 38

Structure:
```
Ti2O3
1.0
5.096 0.000 0.000
-2.548 4.413 0.000
0.000 0.000 9.758
Ti O
8 12
Direct
0.000 0.000 0.000
0.000 0.000 0.500
0.333 0.667 0.021
0.333 0.667 0.479
0.333 0.667 0.750
0.667 0.333 0.250
0.667 0.333 0.521
0.667 0.333 0.979
0.025 0.347 0.882
0.025 0.677 0.618
0.323 0.347 0.618
0.323 0.975 0.882
0.347 0.025 0.382
0.347 0.323 0.118
0.653 0.677 0.882
0.653 0.975 0.618
0.677 0.025 0.118
0.677 0.653 0.382
0.975 0.323 0.382
0.975 0.653 0.118
```

(5)
This entry pairs a crystal structure of Ti3O5 with its simulated powder XRD pattern. Radiation: CuKα. Structure: the PBE geometry in Alexandria.
Neutral-atom scattering factors, no anomalous dispersion.

Largest 10 diffraction maxima, in order of rising 2θ, 2θ from 5° to 70°:
2θ 17.9, intensity 33
2θ 25.2, intensity 100
2θ 32.2, intensity 62
2θ 36.9, intensity 17
2θ 40.6, intensity 23
2θ 45.5, intensity 17
2θ 48.0, intensity 32
2θ 51.6, intensity 15
2θ 55.5, intensity 21
2θ 59.0, intensity 31

Structure:
```
Ti3O5
1.0
1.897 -4.948 0.000
1.897 4.948 0.000
0.000 0.000 10.070
Ti O
6 10
Direct
0.131 0.869 0.557
0.131 0.869 0.943
0.198 0.802 0.250
0.802 0.198 0.750
0.869 0.131 0.057
0.869 0.131 0.443
0.051 0.949 0.123
0.051 0.949 0.377
0.233 0.767 0.750
0.317 0.683 0.069
0.317 0.683 0.431
0.683 0.317 0.569
0.683 0.317 0.931
0.767 0.233 0.250
0.949 0.051 0.623
0.949 0.051 0.877
```

(6)
This entry pairs a crystal structure of Ti19O30 with its simulated powder XRD pattern. Radiation: CuKα. Structure: the PBE geometry in Alexandria.
Neutral-atom scattering factors, no anomalous dispersion.

Largest 10 diffraction maxima, in order of rising 2θ, 2θ from 5° to 70°:
2θ 23.8, intensity 78
2θ 32.6, intensity 100
2θ 35.2, intensity 86
2θ 40.3, intensity 39
2θ 48.7, intensity 40
2θ 53.2, intensity 37
2θ 53.2, intensity 74
2θ 61.5, intensity 27
2θ 63.1, intensity 17
2θ 63.2, intensity 34

Structure:
```
Ti19O30
1.0
5.097 0.000 0.000
-2.546 4.893 0.000
-0.011 -1.787 21.082
Ti O
19 30
Direct
0.000 0.000 0.000
0.028 0.059 0.860
0.092 0.187 0.296
0.119 0.266 0.164
0.195 0.393 0.598
0.225 0.452 0.459
0.298 0.599 0.900
0.328 0.658 0.760
0.427 0.853 0.066
0.492 0.993 0.497
0.526 0.039 0.357
0.596 0.196 0.798
0.627 0.257 0.660
0.700 0.397 0.098
0.729 0.458 0.960
0.793 0.588 0.395
0.823 0.657 0.253
0.895 0.795 0.698
0.926 0.855 0.559
0.041 0.437 0.243
0.046 0.722 0.478
0.094 0.854 0.340
0.106 0.988 0.214
0.123 0.582 0.111
0.176 0.729 0.980
0.253 0.135 0.079
0.275 0.865 0.842
0.287 0.265 0.941
0.337 0.988 0.717
0.349 0.390 0.817
0.372 0.125 0.579
0.448 0.526 0.679
0.475 0.261 0.441
0.484 0.662 0.541
0.531 0.371 0.315
0.551 0.784 0.418
0.567 0.495 0.177
0.657 0.899 0.288
0.676 0.665 0.040
0.719 0.072 0.133
0.739 0.184 0.014
0.740 0.791 0.917
0.775 0.927 0.779
0.852 0.330 0.878
0.874 0.062 0.641
0.887 0.464 0.741
0.935 0.186 0.516
0.948 0.588 0.616
0.973 0.320 0.379
```

(7)
This entry pairs a crystal structure of Ti6O with its simulated powder XRD pattern. Radiation: CuKα. Structure: the PBE geometry in Alexandria.
Neutral-atom scattering factors, no anomalous dispersion.

Largest 8 diffraction maxima, in order of rising 2θ, 2θ from 5° to 70°:
2θ 22.1, intensity 3
2θ 35.1, intensity 19
2θ 38.0, intensity 23
2θ 40.1, intensity 100
2θ 52.6, intensity 17
2θ 58.4, intensity 1
2θ 62.9, intensity 17
2θ 70.0, intensity 15

Structure:
```
Ti6O
1.0
5.116 0.000 0.000
-2.558 4.430 0.000
0.000 0.000 9.481
Ti O
12 2
Direct
0.004 0.336 0.381
0.004 0.668 0.119
0.332 0.336 0.119
0.332 0.996 0.381
0.336 0.004 0.881
0.336 0.332 0.619
0.664 0.668 0.381
0.664 0.996 0.119
0.668 0.004 0.619
0.668 0.664 0.881
0.996 0.332 0.881
0.996 0.664 0.619
0.333 0.667 0.250
0.667 0.333 0.750
```

(8)
This entry pairs a crystal structure of Ti5O8 with its simulated powder XRD pattern. Radiation: CuKα. Structure: the PBE geometry in Alexandria.
Neutral-atom scattering factors, no anomalous dispersion.

Largest 10 diffraction maxima, in order of rising 2θ, 2θ from 5° to 70°:
2θ 10.5, intensity 7
2θ 23.9, intensity 70
2θ 32.7, intensity 90
2θ 35.3, intensity 75
2θ 40.4, intensity 42
2θ 48.8, intensity 35
2θ 53.3, intensity 100
2θ 61.6, intensity 24
2θ 63.3, intensity 30
2θ 63.4, intensity 15

Structure:
```
Ti5O8
1.0
5.515 0.000 0.000
0.822 9.030 0.000
0.812 3.310 8.412
Ti O
15 24
Direct
0.000 0.000 0.000
0.001 0.253 0.251
0.002 0.754 0.752
0.104 0.173 0.647
0.107 0.902 0.409
0.109 0.647 0.170
0.115 0.406 0.898
0.494 0.252 0.751
0.495 0.753 0.250
0.497 0.004 0.504
0.499 0.505 0.000
0.611 0.904 0.905
0.614 0.157 0.155
0.621 0.417 0.407
0.627 0.651 0.646
0.141 0.344 0.720
0.145 0.861 0.206
0.148 0.957 0.611
0.153 0.454 0.108
0.306 0.046 0.857
0.307 0.112 0.298
0.307 0.611 0.794
0.330 0.545 0.344
0.454 0.707 0.045
0.458 0.801 0.452
0.464 0.209 0.545
0.464 0.300 0.952
0.627 0.452 0.611
0.647 0.859 0.705
0.649 0.956 0.107
0.657 0.363 0.202
0.796 0.615 0.287
0.803 0.049 0.358
0.805 0.108 0.797
0.807 0.548 0.857
0.948 0.721 0.547
0.956 0.288 0.449
0.961 0.794 0.957
0.965 0.203 0.048
```

(9)
This entry pairs a crystal structure of Ti3O with its simulated powder XRD pattern. Radiation: CuKα. Structure: the PBE geometry in Alexandria.
Neutral-atom scattering factors, no anomalous dispersion.

Largest 10 diffraction maxima, in order of rising 2θ, 2θ from 5° to 70°:
2θ 19.9, intensity 1
2θ 20.8, intensity 2
2θ 23.5, intensity 1
2θ 34.8, intensity 14
2θ 37.8, intensity 19
2θ 39.8, intensity 100
2θ 52.3, intensity 21
2θ 58.1, intensity 1
2θ 62.4, intensity 18
2θ 69.5, intensity 15

Structure:
```
Ti3O
1.0
5.154 0.000 0.000
-2.577 4.463 0.000
0.000 0.000 14.292
Ti O
18 6
Direct
0.000 0.338 0.255
0.000 0.338 0.921
0.000 0.661 0.745
0.000 0.662 0.079
0.005 0.333 0.588
0.005 0.672 0.412
0.328 0.333 0.412
0.328 0.995 0.588
0.338 0.000 0.921
0.338 0.338 0.079
0.339 0.000 0.255
0.339 0.338 0.745
0.662 0.000 0.079
0.662 0.000 0.745
0.662 0.661 0.255
0.662 0.662 0.921
0.667 0.672 0.588
0.667 0.995 0.412
0.000 0.000 0.500
0.333 0.667 0.167
0.333 0.667 0.500
0.333 0.667 0.833
0.667 0.333 0.167
0.667 0.333 0.833
```

(10)
This entry pairs a crystal structure of Ti3TlO with its simulated powder XRD pattern. Radiation: CuKα. Structure: the PBE geometry in Alexandria.
Neutral-atom scattering factors, no anomalous dispersion.

Largest 10 diffraction maxima, in order of rising 2θ, 2θ from 5° to 70°:
2θ 19.4, intensity 100
2θ 30.5, intensity 44
2θ 30.7, intensity 53
2θ 32.0, intensity 46
2θ 35.1, intensity 45
2θ 35.7, intensity 67
2θ 37.7, intensity 59
2θ 38.1, intensity 53
2θ 39.4, intensity 85
2θ 39.6, intensity 88

Structure:
```
Ti3TlO
1.0
5.024 -2.907 0.000
5.024 2.907 0.000
-4.957 0.000 5.388
Ti Tl O
6 2 2
Direct
0.000 0.000 0.000
0.063 0.576 0.175
0.092 0.092 0.685
0.490 0.990 0.479
0.576 0.063 0.175
0.990 0.490 0.479
0.464 0.464 0.971
0.592 0.592 0.664
0.039 0.039 0.318
0.831 0.831 0.395
```